(1)
For YMgSi2, a DFT-relaxed cell (GGA-PBE, Alexandria) gives the calculated powder diffraction line list in this record (λ = 1.5418 Å (Cu Kα)).
Neutral-atom scattering factors, no anomalous dispersion.

Peak list (8 most intense, 10° ≤ 2θ ≤ 90°, in order of rising 2θ)
2θ = 23.87°, d 3.729, I 38; 2θ = 27.54°, d 3.239, I 53; 2θ = 31.23°, d 2.864, I 91; 2θ = 32.77°, d 2.733, I 91; 2θ = 34.82°, d 2.576, I 45; 2θ = 36.62°, d 2.454, I 100; 2θ = 42.55°, d 2.125, I 63; 2θ = 48.46°, d 1.879, I 48

Structure:
abc: 7.962 3.759 10.636
angles: 90.00 90.00 90.00
Positions (direct):
Y: 0.128 0.250 0.146
Y: 0.372 0.750 0.646
Y: 0.628 0.250 0.354
Y: 0.872 0.750 0.854
Mg: 0.004 0.750 0.391
Mg: 0.496 0.250 0.891
Mg: 0.504 0.750 0.109
Mg: 0.996 0.250 0.609
Si: 0.164 0.250 0.818
Si: 0.247 0.750 0.944
Si: 0.253 0.250 0.444
Si: 0.336 0.750 0.318
Si: 0.664 0.250 0.682
Si: 0.747 0.750 0.556
Si: 0.753 0.250 0.056
Si: 0.836 0.750 0.182

(2)
For TbMgRe, a DFT-relaxed cell (GGA-PBE, Alexandria) gives the calculated powder diffraction line list in this record (λ = 1.5418 Å (Cu Kα)).
Neutral-atom scattering factors, no anomalous dispersion.

Peak list (8 most intense, 10° ≤ 2θ ≤ 90°, in order of rising 2θ)
2θ = 26.47°, d 3.367, I 53; 2θ = 32.27°, d 2.774, I 100; 2θ = 32.59°, d 2.747, I 64; 2θ = 36.85°, d 2.439, I 31; 2θ = 38.02°, d 2.367, I 37; 2θ = 45.23°, d 2.005, I 66; 2θ = 54.50°, d 1.684, I 28; 2θ = 62.86°, d 1.478, I 31

Structure:
abc: 10.334 10.086 4.120
angles: 81.77 74.99 23.24
Positions (direct):
Tb: 0.102 0.102 0.898
Tb: 0.898 0.898 0.102
Mg: 0.250 0.250 0.250
Mg: 0.750 0.750 0.750
Re: 0.322 0.678 0.322
Re: 0.678 0.322 0.678

(3)
For Pm3ZnOs, a DFT-relaxed cell (GGA-PBE, Alexandria) gives the calculated powder diffraction line list in this record (λ = 1.5418 Å (Cu Kα)).
Neutral-atom scattering factors, no anomalous dispersion.

Peak list (8 most intense, 10° ≤ 2θ ≤ 90°, in order of rising 2θ)
2θ = 11.07°, d 7.990, I 43; 2θ = 30.97°, d 2.888, I 55; 2θ = 32.48°, d 2.756, I 47; 2θ = 34.82°, d 2.577, I 100; 2θ = 35.49°, d 2.529, I 48; 2θ = 38.42°, d 2.343, I 39; 2θ = 40.07°, d 2.250, I 41; 2θ = 56.63°, d 1.625, I 23

Structure:
abc: 9.388 8.632 5.914
angles: 77.93 64.05 38.03
Positions (direct):
Pm: 0.198 0.198 0.802
Pm: 0.207 0.583 0.417
Pm: 0.417 0.793 0.207
Pm: 0.583 0.207 0.793
Pm: 0.793 0.417 0.583
Pm: 0.802 0.802 0.198
Zn: 0.191 0.809 0.809
Zn: 0.809 0.191 0.191
Os: 0.250 0.250 0.250
Os: 0.750 0.750 0.750